1.
Structure and calculated powder X-ray diffraction pattern of SmIn5Pt3 (the PBE geometry in Alexandria; λ = 1.5418 Å (Cu Kα)).

Principal peaks in the range 2θ from 5° to 70°, sorted by position:
d/Å  2theta  Rel. int.
2.928  30.53  85.7
2.780  32.20  100.0
2.580  34.77  90.1
2.333  38.59  78.3
2.274  39.63  74.8
1.905  47.74  54.1

Cell and atoms:
```
SmIn5Pt3
1.0
1.9052 -7.3774 0.0000
1.9052 7.3774 0.0000
0.0000 0.0000 14.4419
Sm In Pt
2 10 6
Direct
0.1709 0.8291 0.7500 Sm
0.8291 0.1709 0.2500 Sm
0.0000 0.0000 0.0000 In
0.0000 0.0000 0.5000 In
0.1982 0.8018 0.0643 In
0.1982 0.8018 0.4357 In
0.4508 0.5492 0.6537 In
0.4508 0.5492 0.8463 In
0.5492 0.4508 0.1537 In
0.5492 0.4508 0.3463 In
0.8018 0.1982 0.5643 In
0.8018 0.1982 0.9357 In
0.1587 0.8413 0.2500 Pt
0.3805 0.6195 0.0745 Pt
0.3805 0.6195 0.4255 Pt
0.6195 0.3805 0.5745 Pt
0.6195 0.3805 0.9255 Pt
0.8413 0.1587 0.7500 Pt
```

***

2.
Structure and calculated powder X-ray diffraction pattern of In5AgSe8 (the PBE geometry in Alexandria; λ = 1.5418 Å (Cu Kα)).

Principal peaks in the range 2θ from 5° to 70°, sorted by position:
d/Å  2theta  Rel. int.
3.428  26.00  100.0
2.108  42.90  48.6
2.081  43.48  23.2
1.813  50.34  14.7
1.779  51.36  28.4
1.367  68.66  11.0

Cell and atoms:
```
In5AgSe8
1.0
5.8866 0.0000 0.0000
0.0000 5.8866 0.0000
0.0000 0.0000 12.0825
In Ag Se
5 1 8
Direct
0.0000 0.0000 0.0000 In
0.0000 0.5000 0.2530 In
0.0000 0.5000 0.7470 In
0.5000 0.0000 0.2530 In
0.5000 0.0000 0.7470 In
0.5000 0.5000 0.5000 Ag
0.2284 0.2284 0.6195 Se
0.2284 0.7716 0.3805 Se
0.2734 0.2734 0.1119 Se
0.2734 0.7266 0.8881 Se
0.7266 0.2734 0.8881 Se
0.7266 0.7266 0.1119 Se
0.7716 0.2284 0.3805 Se
0.7716 0.7716 0.6195 Se
```

***

3.
Structure and calculated powder X-ray diffraction pattern of Y2Al2Si2C (the PBE geometry in Alexandria; λ = 1.5418 Å (Cu Kα)).

Principal peaks in the range 2θ from 5° to 70°, sorted by position:
d/Å  2theta  Rel. int.
3.156  28.28  90.2
2.910  30.73  89.4
2.707  33.10  62.7
2.459  36.55  46.0
2.284  39.45  100.0
2.057  44.01  76.5

Cell and atoms:
```
Y2Al2Si2C
1.0
4.1147 0.0000 0.0000
0.0000 4.1147 0.0000
0.0000 0.0000 14.7518
Y Al Si C
4 4 4 2
Direct
0.0000 0.0000 0.1623 Y
0.0000 0.0000 0.8377 Y
0.5000 0.5000 0.3377 Y
0.5000 0.5000 0.6623 Y
0.0000 0.5000 0.0000 Al
0.0000 0.5000 0.5000 Al
0.5000 0.0000 0.0000 Al
0.5000 0.0000 0.5000 Al
0.0000 0.0000 0.3706 Si
0.0000 0.0000 0.6294 Si
0.5000 0.5000 0.1294 Si
0.5000 0.5000 0.8706 Si
0.0000 0.0000 0.0000 C
0.5000 0.5000 0.5000 C
```

***

4.
Structure and calculated powder X-ray diffraction pattern of MnAuI4 (the PBE geometry in Alexandria; λ = 1.5418 Å (Cu Kα)).

Principal peaks in the range 2θ from 5° to 70°, sorted by position:
d/Å  2theta  Rel. int.
7.930  11.16  39.7
4.893  18.13  100.0
2.804  31.92  48.9
2.433  36.95  65.7
1.843  49.44  28.3
1.837  49.62  27.8

Cell and atoms:
```
MnAuI4
1.0
7.9297 0.0000 0.0000
0.0000 7.9297 0.0000
0.0000 0.0000 9.7860
Mn Au I
2 2 8
Direct
0.0000 0.5000 0.0000 Mn
0.5000 0.0000 0.5000 Mn
0.0000 0.0000 0.0000 Au
0.0000 0.0000 0.5000 Au
0.2422 0.2540 0.0000 I
0.2422 0.7460 0.0000 I
0.2540 0.2422 0.5000 I
0.2540 0.7578 0.5000 I
0.7460 0.2422 0.5000 I
0.7460 0.7578 0.5000 I
0.7578 0.2540 0.0000 I
0.7578 0.7460 0.0000 I
```

***

5.
Structure and calculated powder X-ray diffraction pattern of AcAlSn (the PBE geometry in Alexandria; λ = 1.5418 Å (Cu Kα)).

Principal peaks in the range 2θ from 5° to 70°, sorted by position:
d/Å  2theta  Rel. int.
4.029  22.06  28.9
3.089  28.90  61.0
3.028  29.50  100.0
2.382  37.77  42.1
2.297  39.22  39.1
1.845  49.41  28.7

Cell and atoms:
```
AcAlSn
1.0
4.5990 0.0000 0.0000
0.0000 8.3536 0.0000
0.0000 0.0000 9.1788
Ac Al Sn
4 4 4
Direct
0.0000 0.0000 0.2458 Ac
0.0000 0.0000 0.7542 Ac
0.5000 0.5000 0.2542 Ac
0.5000 0.5000 0.7458 Ac
0.0000 0.3489 0.0000 Al
0.0000 0.6511 0.0000 Al
0.5000 0.1511 0.5000 Al
0.5000 0.8489 0.5000 Al
0.0000 0.3183 0.5000 Sn
0.0000 0.6817 0.5000 Sn
0.5000 0.1817 0.0000 Sn
0.5000 0.8183 0.0000 Sn
```

***

6.
Structure and calculated powder X-ray diffraction pattern of Na5Hg7 (the PBE geometry in Alexandria; λ = 1.5418 Å (Cu Kα)).

Principal peaks in the range 2θ from 5° to 70°, sorted by position:
d/Å  2theta  Rel. int.
4.942  17.95  43.1
4.017  22.13  51.6
2.882  31.03  65.1
2.686  33.35  76.3
2.660  33.69  100.0
2.600  34.50  91.8

Cell and atoms:
```
Na5Hg7
1.0
8.1560 -1.8118 0.0000
8.1560 1.8118 0.0000
-5.9510 0.0000 10.7451
Na Hg
5 7
Direct
0.0000 0.0000 0.0000 Na
0.1546 0.1546 0.4829 Na
0.3000 0.3000 0.2369 Na
0.7000 0.7000 0.7631 Na
0.8454 0.8454 0.5171 Na
0.0333 0.0333 0.7610 Hg
0.3355 0.3355 0.9969 Hg
0.3594 0.3594 0.7484 Hg
0.5000 0.5000 0.5000 Hg
0.6406 0.6406 0.2516 Hg
0.6645 0.6645 0.0031 Hg
0.9667 0.9667 0.2390 Hg
```

***

7.
Structure and calculated powder X-ray diffraction pattern of AlGa6Ag2 (the PBE geometry in Alexandria; λ = 1.5418 Å (Cu Kα)).

Principal peaks in the range 2θ from 5° to 70°, sorted by position:
d/Å  2theta  Rel. int.
2.988  29.90  27.6
2.614  34.31  100.0
2.292  39.31  52.5
2.107  42.93  34.4
2.063  43.89  41.9
1.815  50.27  34.9

Cell and atoms:
```
AlGa6Ag2
1.0
3.5729 2.0628 3.8355
-3.5729 2.0628 3.8355
0.0000 -4.1256 3.8355
Al Ga Ag
1 6 2
Direct
0.0000 0.0000 0.0000 Al
0.0724 0.5526 0.8448 Ga
0.3931 0.9273 0.6228 Ga
0.5526 0.8448 0.0724 Ga
0.6228 0.3931 0.9273 Ga
0.8448 0.0724 0.5526 Ga
0.9273 0.6228 0.3931 Ga
0.2283 0.2283 0.2283 Ag
0.4737 0.4737 0.4737 Ag
```

***

8.
Structure and calculated powder X-ray diffraction pattern of La3YC (the PBE geometry in Alexandria; λ = 1.5418 Å (Cu Kα)).

Principal peaks in the range 2θ from 5° to 70°, sorted by position:
d/Å  2theta  Rel. int.
5.336  16.61  3.9
3.081  28.98  100.0
2.668  33.59  55.5
1.886  48.24  39.5
1.609  57.27  44.0
1.540  60.07  13.5

Cell and atoms:
```
La3YC
1.0
5.3357 0.0000 0.0000
0.0000 5.3357 0.0000
0.0000 0.0000 5.3357
La Y C
3 1 1
Direct
0.0000 0.0000 0.5000 La
0.0000 0.5000 0.0000 La
0.5000 0.0000 0.0000 La
0.5000 0.5000 0.5000 Y
0.0000 0.0000 0.0000 C
```

***

9.
Structure and calculated powder X-ray diffraction pattern of Er3BiSbS (the PBE geometry in Alexandria; λ = 1.5418 Å (Cu Kα)).

Principal peaks in the range 2θ from 5° to 70°, sorted by position:
d/Å  2theta  Rel. int.
3.153  28.30  78.5
3.091  28.88  91.4
3.034  29.44  100.0
2.567  34.96  36.4
2.472  36.34  51.3
2.209  40.84  46.0

Cell and atoms:
```
Er3BiSbS
1.0
8.7475 0.0000 0.0000
0.0000 4.4187 0.0000
-1.4007 0.0000 9.4592
Er Bi Sb S
6 2 2 2
Direct
0.0965 0.2500 0.3603 Er
0.3069 0.2500 0.0145 Er
0.3893 0.7500 0.6307 Er
0.6107 0.2500 0.3693 Er
0.6931 0.7500 0.9855 Er
0.9035 0.7500 0.6397 Er
0.3337 0.7500 0.2903 Bi
0.6663 0.2500 0.7097 Bi
0.1496 0.2500 0.6775 Sb
0.8504 0.7500 0.3225 Sb
0.3900 0.7500 0.9059 S
0.6100 0.2500 0.0941 S
```

***

10.
Structure and calculated powder X-ray diffraction pattern of Pm12TmGe6 (the PBE geometry in Alexandria; λ = 1.5418 Å (Cu Kα)).

Principal peaks in the range 2θ from 5° to 70°, sorted by position:
d/Å  2theta  Rel. int.
3.196  27.92  53.0
3.147  28.36  100.0
2.667  33.60  45.2
2.640  33.96  33.5
2.601  34.49  28.7
2.172  41.57  41.3

Cell and atoms:
```
Pm12TmGe6
1.0
6.8449 3.9519 3.6140
-6.8449 3.9519 3.6140
0.0000 -7.9038 3.6140
Pm Tm Ge
12 1 6
Direct
0.0000 0.3758 0.6242 Pm
0.0000 0.6242 0.3758 Pm
0.0620 0.0620 0.3250 Pm
0.0620 0.3250 0.0620 Pm
0.3250 0.0620 0.0620 Pm
0.3758 0.0000 0.6242 Pm
0.3758 0.6242 0.0000 Pm
0.6242 0.0000 0.3758 Pm
0.6242 0.3758 0.0000 Pm
0.6750 0.9380 0.9380 Pm
0.9380 0.6750 0.9380 Pm
0.9380 0.9380 0.6750 Pm
0.5000 0.5000 0.5000 Tm
0.1961 0.7510 0.7510 Ge
0.2490 0.2490 0.8039 Ge
0.2490 0.8039 0.2490 Ge
0.7510 0.1961 0.7510 Ge
0.7510 0.7510 0.1961 Ge
0.8039 0.2490 0.2490 Ge
```

***

11.
Structure and calculated powder X-ray diffraction pattern of Nb4GeS8 (the PBE geometry in Alexandria; λ = 1.5418 Å (Cu Kα)).

Principal peaks in the range 2θ from 5° to 70°, sorted by position:
d/Å  2theta  Rel. int.
6.881  12.87  100.0
2.764  32.39  24.2
2.565  34.99  43.5
2.217  40.70  36.1
2.104  43.00  38.6
1.673  54.87  32.7

Cell and atoms:
```
Nb4GeS8
1.0
3.3467 0.0000 0.0000
-1.6733 2.8983 0.0000
0.0000 0.0000 27.5245
Nb Ge S
4 1 8
Direct
0.0000 0.0000 0.0000 Nb
0.0000 0.0000 0.2338 Nb
0.6667 0.3333 0.4749 Nb
0.6667 0.3333 0.7124 Nb
0.6667 0.3333 0.8516 Ge
0.0000 0.0000 0.6557 S
0.0000 0.0000 0.7702 S
0.3333 0.6667 0.0561 S
0.3333 0.6667 0.4179 S
0.3333 0.6667 0.5319 S
0.3333 0.6667 0.9418 S
0.6667 0.3333 0.1767 S
0.6667 0.3333 0.2908 S
```

***

12.
Structure and calculated powder X-ray diffraction pattern of Tb7Mg2Sc2 (the PBE geometry in Alexandria; λ = 1.5418 Å (Cu Kα)).

Principal peaks in the range 2θ from 5° to 70°, sorted by position:
d/Å  2theta  Rel. int.
7.605  11.64  54.1
5.289  16.76  47.0
2.800  31.96  50.7
2.749  32.57  100.0
2.734  32.75  83.1
2.567  34.96  53.4

Cell and atoms:
```
Tb7Mg2Sc2
1.0
5.6967 -5.4709 0.0000
5.6967 5.4709 0.0000
-2.0995 0.0000 5.2460
Tb Mg Sc
7 2 2
Direct
0.0000 0.0000 0.0000 Tb
0.0250 0.5970 0.8132 Tb
0.2218 0.2218 0.6555 Tb
0.4030 0.9750 0.1868 Tb
0.5970 0.0250 0.8132 Tb
0.7782 0.7782 0.3445 Tb
0.9750 0.4030 0.1868 Tb
0.4384 0.4384 0.2195 Mg
0.5616 0.5616 0.7805 Mg
0.2199 0.7801 0.5000 Sc
0.7801 0.2199 0.5000 Sc
```

***

13.
Structure and calculated powder X-ray diffraction pattern of SmCdPtRh (the PBE geometry in Alexandria; λ = 1.5418 Å (Cu Kα)).

Principal peaks in the range 2θ from 5° to 70°, sorted by position:
d/Å  2theta  Rel. int.
3.919  22.69  6.2
2.400  37.47  100.0
2.047  44.26  3.5
1.697  54.04  17.3
1.557  59.34  1.6
1.386  67.61  35.0

Cell and atoms:
```
SmCdPtRh
1.0
6.7881 0.0000 0.0000
0.0000 6.7881 0.0000
0.0000 0.0000 6.7881
Sm Cd Pt Rh
4 4 4 4
Direct
0.0000 0.0000 0.0000 Sm
0.0000 0.5000 0.5000 Sm
0.5000 0.0000 0.5000 Sm
0.5000 0.5000 0.0000 Sm
0.0000 0.0000 0.5000 Cd
0.0000 0.5000 0.0000 Cd
0.5000 0.0000 0.0000 Cd
0.5000 0.5000 0.5000 Cd
0.2500 0.2500 0.7500 Pt
0.2500 0.7500 0.2500 Pt
0.7500 0.2500 0.2500 Pt
0.7500 0.7500 0.7500 Pt
0.2500 0.2500 0.2500 Rh
0.2500 0.7500 0.7500 Rh
0.7500 0.2500 0.7500 Rh
0.7500 0.7500 0.2500 Rh
```